1.
For KHg3, DFT lattice parameters and positions (GGA-PBE) gives the calculated powder diffraction line list in this record (Cu Ka).

Structure:
```
KHg3
1.0
5.0694 0.0000 0.0000
0.0000 5.0694 0.0000
0.0000 0.0000 5.0694
K Hg
1 3
Direct
0.0000 0.0000 0.0000 K
0.0000 0.5000 0.5000 Hg
0.5000 0.0000 0.5000 Hg
0.5000 0.5000 0.0000 Hg
```

The 10 most intense peaks (2θ = 15–90°), in order of rising 2θ:
2θ 17.5, d 5.069, rel. 17; 2θ 24.8, d 3.585, rel. 15; 2θ 30.5, d 2.927, rel. 100; 2θ 35.4, d 2.535, rel. 51; 2θ 39.8, d 2.267, rel. 9; 2θ 51.0, d 1.792, rel. 37; 2θ 60.6, d 1.528, rel. 44; 2θ 63.6, d 1.463, rel. 13; 2θ 83.0, d 1.163, rel. 19; 2θ 85.7, d 1.134, rel. 17

=====

2.
For H3Pt, DFT lattice parameters and positions (GGA-PBE) gives the calculated powder diffraction line list in this record (Cu Ka).

Structure:
```
H3Pt
1.0
3.6175 0.0000 0.0000
-1.8087 3.1328 0.0000
0.0000 0.0000 5.2334
H Pt
6 2
Direct
0.1603 0.3207 0.2500 H
0.1603 0.8397 0.2500 H
0.3207 0.1603 0.7500 H
0.6793 0.8397 0.2500 H
0.8397 0.1603 0.7500 H
0.8397 0.6793 0.7500 H
0.3333 0.6667 0.7500 Pt
0.6667 0.3333 0.2500 Pt
```

The 10 most intense peaks (2θ = 15–90°), in order of rising 2θ:
2θ 28.5, d 3.133, rel. 25; 2θ 33.3, d 2.688, rel. 100; 2θ 34.3, d 2.617, rel. 22; 2θ 45.1, d 2.008, rel. 15; 2θ 50.5, d 1.809, rel. 21; 2θ 60.8, d 1.524, rel. 18; 2θ 61.8, d 1.501, rel. 18; 2θ 62.4, d 1.488, rel. 23; 2θ 82.8, d 1.165, rel. 8; 2θ 83.8, d 1.155, rel. 15

=====

3.
For RbFeS2, DFT lattice parameters and positions (GGA-PBE) gives the calculated powder diffraction line list in this record (Cu Ka).

Structure:
```
RbFeS2
1.0
-2.6813 3.4467 5.7986
2.6813 -3.4467 5.7986
2.6813 3.4467 -5.7986
Rb Fe S
2 2 4
Direct
0.1748 0.1748 0.0000 Rb
0.8252 0.8252 0.0000 Rb
0.5000 0.2539 0.7539 Fe
0.5000 0.7461 0.2461 Fe
0.2481 0.5000 0.7481 S
0.3526 0.8526 0.5000 S
0.6474 0.1474 0.5000 S
0.7519 0.5000 0.2519 S
```

The 10 most intense peaks (2θ = 15–90°), in order of rising 2θ:
2θ 21.0, d 4.233, rel. 25; 2θ 25.8, d 3.447, rel. 59; 2θ 26.4, d 3.372, rel. 66; 2θ 28.5, d 3.136, rel. 100; 2θ 31.8, d 2.813, rel. 53; 2θ 36.8, d 2.443, rel. 27; 2θ 38.8, d 2.320, rel. 26; 2θ 45.6, d 1.988, rel. 54; 2θ 53.1, d 1.724, rel. 24; 2θ 53.6, d 1.709, rel. 28

=====

4.
For U3Al2Si3, DFT lattice parameters and positions (GGA-PBE) gives the calculated powder diffraction line list in this record (Cu Ka).

Structure:
```
U3Al2Si3
1.0
-3.7862 3.7862 5.4634
3.7862 -3.7862 5.4634
3.7862 3.7862 -5.4634
U Al Si
6 4 6
Direct
0.0000 0.0000 0.0000 U
0.0601 0.5601 0.1926 U
0.3674 0.8674 0.8074 U
0.5000 0.5000 0.0000 U
0.5601 0.3674 0.5000 U
0.8674 0.0601 0.5000 U
0.0486 0.5486 0.7809 Al
0.2678 0.0486 0.5000 Al
0.5486 0.7678 0.5000 Al
0.7678 0.2678 0.2191 Al
0.1805 0.3807 0.5000 Si
0.2516 0.2516 0.0000 Si
0.3807 0.8807 0.2002 Si
0.6805 0.1805 0.7998 Si
0.7516 0.7516 0.0000 Si
0.8807 0.6805 0.5000 Si
```

The 10 most intense peaks (2θ = 15–90°), in order of rising 2θ:
2θ 23.3, d 3.824, rel. 70; 2θ 27.6, d 3.235, rel. 100; 2θ 28.7, d 3.112, rel. 49; 2θ 32.8, d 2.732, rel. 34; 2θ 36.2, d 2.480, rel. 91; 2θ 37.6, d 2.395, rel. 73; 2θ 50.7, d 1.801, rel. 41; 2θ 51.1, d 1.789, rel. 20; 2θ 54.1, d 1.697, rel. 24; 2θ 72.0, d 1.312, rel. 28

=====

5.
For Mn3Ge, DFT lattice parameters and positions (GGA-PBE) gives the calculated powder diffraction line list in this record (Cu Ka).

Structure:
```
Mn3Ge
1.0
0.0000 2.8819 2.8819
2.8819 0.0000 2.8819
2.8819 2.8819 0.0000
Mn Ge
3 1
Direct
0.0000 0.0000 0.0000 Mn
0.2500 0.2500 0.2500 Mn
0.7500 0.7500 0.7500 Mn
0.5000 0.5000 0.5000 Ge
```

The 6 most intense peaks (2θ = 15–90°), in order of rising 2θ:
2θ 26.8, d 3.328, rel. 2; 2θ 31.0, d 2.882, rel. 1; 2θ 44.5, d 2.038, rel. 100; 2θ 52.7, d 1.738, rel. 1; 2θ 64.7, d 1.441, rel. 15; 2θ 81.9, d 1.177, rel. 30

=====

6.
For BaEuO2, DFT lattice parameters and positions (GGA-PBE) gives the calculated powder diffraction line list in this record (Cu Ka).

Structure:
```
BaEuO2
1.0
1.8762 1.0833 6.2585
-1.8762 1.0833 6.2585
0.0000 -2.1665 6.2585
Ba Eu O
1 1 2
Direct
0.0000 0.0000 0.0000 Ba
0.5000 0.5000 0.5000 Eu
0.2397 0.2397 0.2397 O
0.7603 0.7603 0.7603 O
```

The 10 most intense peaks (2θ = 15–90°), in order of rising 2θ:
2θ 28.5, d 3.129, rel. 32; 2θ 29.1, d 3.071, rel. 90; 2θ 33.5, d 2.672, rel. 100; 2θ 47.8, d 1.903, rel. 35; 2θ 48.5, d 1.876, rel. 34; 2θ 56.6, d 1.626, rel. 15; 2θ 57.3, d 1.609, rel. 29; 2θ 60.3, d 1.535, rel. 18; 2θ 79.8, d 1.202, rel. 15; 2θ 80.9, d 1.188, rel. 15